Entry 1:
# Na2ScAsSe4
Theoretical powder diffraction line list, Cu Kα X-rays. Input: the GGA-PBE geometry in Alexandria.

Crystal structure
```
data_Na2ScAsSe4
_space_group_name_H-M_alt 'P 1'
_space_group_IT_number 1
_cell_length_a 8.079
_cell_length_b 8.079
_cell_length_c 8.079
_cell_angle_alpha 120.12
_cell_angle_beta 119.96
_cell_angle_gamma 89.93
loop_
_space_group_symop_operation_xyz
'x,y,z'
loop_
_atom_site_label
_atom_site_fract_x
_atom_site_fract_y
_atom_site_fract_z
_atom_site_occupancy
Na1 0.000 0.000 0.000 1
Na2 0.500 0.000 0.000 1
Na3 0.500 0.000 0.500 1
Na4 0.500 0.500 0.500 1
Sc1 0.000 0.000 0.500 1
Sc2 0.000 0.500 0.000 1
As1 0.000 0.500 0.500 1
As2 0.500 0.500 0.000 1
Se1 0.220 0.739 0.481 1
Se2 0.240 0.259 0.520 1
Se3 0.240 0.720 0.980 1
Se4 0.242 0.261 0.981 1
Se5 0.758 0.739 0.019 1
Se6 0.760 0.280 0.020 1
Se7 0.760 0.741 0.480 1
Se8 0.780 0.261 0.519 1
```

Principal peaks in the range 2θ from 10° to 80°, in order of falling intensity:
| Position (°2θ) | I_rel |
| --- | --- |
| 31.32 | 100 |
| 44.87 | 57 |
| 74.24 | 22 |
| 13.43 | 22 |
| 27.04 | 16 |
| 44.97 | 11 |
| 55.70 | 11 |
| 55.80 | 11 |
| 41.06 | 10 |
| 65.35 | 10 |



Entry 2:
# Si2SnRhN
Theoretical powder diffraction line list, Cu Kα X-rays. Input: the GGA-PBE geometry in Alexandria.

Crystal structure
```
data_Si2SnRhN
_space_group_name_H-M_alt 'P 1'
_space_group_IT_number 1
_cell_length_a 4.694
_cell_length_b 4.694
_cell_length_c 6.333
_cell_angle_alpha 103.31
_cell_angle_beta 103.31
_cell_angle_gamma 35.72
loop_
_space_group_symop_operation_xyz
'x,y,z'
loop_
_atom_site_label
_atom_site_fract_x
_atom_site_fract_y
_atom_site_fract_z
_atom_site_occupancy
Si1 0.000 0.000 0.000 1
Si2 0.656 0.656 0.749 1
Sn1 0.851 0.851 0.310 1
Rh1 0.361 0.361 0.685 1
N1 0.638 0.638 0.040 1
```

Principal peaks in the range 2θ from 10° to 80°, in order of falling intensity:
| Position (°2θ) | I_rel |
| --- | --- |
| 20.49 | 100 |
| 37.01 | 63 |
| 34.90 | 60 |
| 49.43 | 40 |
| 42.57 | 38 |
| 44.34 | 37 |
| 29.06 | 28 |
| 22.05 | 28 |
| 31.35 | 26 |
| 44.22 | 25 |